Starting from DFT lattice parameters and positions (GGA-PBE), the X-ray powder pattern of LiCaYBr6 was computed for Cu Kα (λ = 1.5418 Å).
Intensities are scaled so that the largest is 100.

Principal peaks in the range 15 to 90 degrees two-theta, by intensity:
2theta  intensity
28.83  100.0
37.72  40.4
44.51  34.3
49.50  21.8
53.90  16.0
74.94  13.0
27.54  12.9
72.40  12.7
53.14  12.3
19.98  11.9

Atomic structure:
```
LiCaYBr6
1.0
7.0514 0.0000 0.0000
-3.5257 6.1067 0.0000
0.0000 0.0000 12.9548
Li Ca Y Br
2 2 2 12
Cartesian
0.0000 4.0711 3.2387
3.5257 2.0356 9.7161
0.0000 0.0000 0.0000
0.0000 0.0000 6.4774
0.0000 4.0711 9.7161
3.5257 2.0356 3.2387
-1.1956 2.1222 1.6612
-2.2856 4.0101 4.8162
1.1956 2.1222 4.8162
-1.0900 6.0810 1.6612
2.4357 0.0257 8.1386
1.2401 2.0965 11.2936
2.2856 4.0101 1.6612
1.0900 6.0810 4.8162
4.6157 0.0257 11.2936
2.3301 3.9844 8.1386
5.8113 2.0965 8.1386
4.7213 3.9844 11.2936
```

Starting from DFT lattice parameters and positions (GGA-PBE), the X-ray powder pattern of TlAg2PbCl6 was computed for Cu Kα (λ = 1.5418 Å).
Intensities are scaled so that the largest is 100.

Principal peaks in the range 15 to 90 degrees two-theta, by intensity:
2theta  intensity
23.01  100.0
23.19  84.9
43.05  28.6
31.82  24.3
25.23  23.2
36.04  19.2
24.99  19.1
35.57  18.9
29.28  18.8
43.35  18.4

Atomic structure:
```
TlAg2PbCl6
1.0
7.0598 -6.0094 0.0000
7.0598 6.0094 0.0000
-0.0909 0.0000 7.1265
Tl Ag Pb Cl
2 4 2 12
Cartesian
6.9916 4.1773 5.3449
7.0371 -4.1773 1.7816
3.3872 1.2448 4.7282
3.4326 -1.2448 1.1649
10.5960 1.2448 5.9616
10.6415 -1.2448 2.3983
7.0371 0.9716 1.7816
6.9916 -0.9716 5.3449
2.0280 0.2801 6.5987
5.0053 2.4879 3.0787
2.0734 -0.2801 3.0354
5.4568 1.2816 6.4548
9.0688 2.4879 0.4846
5.5023 -1.2816 2.8916
8.5264 1.2816 4.2349
4.9599 -2.4879 6.6420
8.5719 -1.2816 0.6717
11.9552 0.2801 4.0911
9.0233 -2.4879 4.0478
12.0007 -0.2801 0.5279
```

Starting from DFT lattice parameters and positions (GGA-PBE), the X-ray powder pattern of DySiTc was computed for Cu Kα (λ = 1.5418 Å).
Intensities are scaled so that the largest is 100.

Principal peaks in the range 15 to 90 degrees two-theta, by intensity:
2theta  intensity
34.93  100.0
40.09  33.6
41.48  29.3
59.05  21.8
69.51  20.8
23.96  18.1
35.70  16.3
57.47  15.7
43.45  14.8
71.45  14.3

Atomic structure:
```
DySiTc
1.0
7.1096 0.0000 0.0000
0.0000 4.3538 0.0000
0.0000 0.0000 7.1157
Dy Si Tc
4 4 4
Cartesian
0.0883 1.0885 1.3255
3.4665 3.2654 4.8834
3.6431 1.0885 2.2324
7.0213 3.2654 5.7903
1.3838 1.0885 4.3160
2.1710 3.2654 0.7581
4.9386 1.0885 6.3576
5.7258 3.2654 2.7998
1.0994 3.2654 3.1046
2.4554 1.0885 6.6624
4.6542 3.2654 0.4533
6.0102 1.0885 4.0112
```